No. 1
Simulated powder XRD pattern
Compound: Pr2DyHg8
Radiation: Cu Ka
Structure: a structure optimized by DFT (GGA-PBE)

Largest 6 diffraction maxima, in order of rising 2θ, 2θ from 15° to 90°:
- 2.790 Å, rel. 238
- 2.613 Å, rel. 343
- 2.588 Å, rel. 1000
- 2.449 Å, rel. 151
- 1.787 Å, rel. 119
- 1.504 Å, rel. 218

Structure:
```
data_Pr2DyHg8
_chemical_formula_sum 'Pr4 Dy2 Hg16'
_symmetry_space_group_name_H-M 'I m m m'
_symmetry_Int_Tables_number 71
_symmetry_space_group_name_Hall '-I 2 2'
_cell_length_a 5.2268
_cell_length_b 7.5045
_cell_length_c 14.6965
_cell_angle_alpha 90.00
_cell_angle_beta 90.00
_cell_angle_gamma 90.00
loop_
_atom_site_label
_atom_site_fract_x
_atom_site_fract_y
_atom_site_fract_z
Pr1 0.0000 0.0000 0.1962
Dy1 0.0000 0.0000 0.5000
Hg1 0.0000 0.2159 0.0000
Hg2 0.0000 0.2908 0.3599
Hg3 0.0000 0.5000 0.1560
```

No. 2
Simulated powder XRD pattern
Compound: Y3Mn2B9
Radiation: Cu Ka
Structure: a structure optimized by DFT (GGA-PBE)

Largest 6 diffraction maxima, in order of rising 2θ, 2θ from 15° to 90°:
- 3.819 Å, rel. 362
- 3.313 Å, rel. 1000
- 2.891 Å, rel. 944
- 2.502 Å, rel. 705
- 2.179 Å, rel. 951
- 2.121 Å, rel. 327

Structure:
```
data_Y3Mn2B9
_chemical_formula_sum 'Y6 Mn4 B18'
_symmetry_space_group_name_H-M 'I m m m'
_symmetry_Int_Tables_number 71
_symmetry_space_group_name_Hall '-I 2 2'
_cell_length_a 3.1237
_cell_length_b 7.6351
_cell_length_c 13.2587
_cell_angle_alpha 90.00
_cell_angle_beta 90.00
_cell_angle_gamma 90.00
loop_
_atom_site_label
_atom_site_fract_x
_atom_site_fract_y
_atom_site_fract_z
Y1 0.0000 0.0000 0.0000
Y2 0.0000 0.0000 0.2635
Mn1 0.0000 0.1660 0.5000
B1 0.0000 0.2732 0.1177
B2 0.0000 0.3066 0.3704
B3 0.0000 0.5000 0.0000
```

No. 3
Simulated powder XRD pattern
Compound: Pm5Hg2Ge2
Radiation: Cu Ka
Structure: a structure optimized by DFT (GGA-PBE)

Largest 6 diffraction maxima, in order of rising 2θ, 2θ from 15° to 90°:
- 2.953 Å, rel. 365
- 2.822 Å, rel. 1000
- 2.798 Å, rel. 409
- 2.785 Å, rel. 489
- 2.655 Å, rel. 362
- 2.457 Å, rel. 273

Structure:
```
data_Pm5Hg2Ge2
_chemical_formula_sum 'Pm20 Hg8 Ge8'
_symmetry_space_group_name_H-M 'C m c e'
_symmetry_Int_Tables_number 64
_symmetry_space_group_name_Hall '-C 2ac 2'
_cell_length_a 16.1813
_cell_length_b 7.8583
_cell_length_c 7.8971
_cell_angle_alpha 90.00
_cell_angle_beta 90.00
_cell_angle_gamma 90.00
loop_
_atom_site_label
_atom_site_fract_x
_atom_site_fract_y
_atom_site_fract_z
Pm1 0.0000 0.0000 0.0000
Pm2 0.1291 0.1816 0.3255
Hg1 0.2151 0.0000 0.0000
Ge1 0.0000 0.1228 0.6254
```

No. 4
Simulated powder XRD pattern
Compound: K6Ga3Cl14
Radiation: Cu Ka
Structure: a structure optimized by DFT (GGA-PBE)

Largest 6 diffraction maxima, in order of rising 2θ, 2θ from 15° to 90°:
- 5.559 Å, rel. 1000
- 4.310 Å, rel. 296
- 3.932 Å, rel. 505
- 3.208 Å, rel. 518
- 2.901 Å, rel. 315
- 2.787 Å, rel. 320

Structure:
```
data_K6Ga3Cl14
_chemical_formula_sum 'K6 Ga3 Cl14'
_symmetry_space_group_name_H-M 'P 3'
_symmetry_Int_Tables_number 143
_symmetry_space_group_name_Hall 'P 3'
_cell_length_a 11.0971
_cell_length_b 11.0971
_cell_length_c 6.8424
_cell_angle_alpha 90.00
_cell_angle_beta 90.00
_cell_angle_gamma 120.00
loop_
_atom_site_label
_atom_site_fract_x
_atom_site_fract_y
_atom_site_fract_z
K1 0.0128 0.4598 0.0000
K2 0.2871 0.1892 0.4546
Ga1 0.0000 0.0000 0.0241
Ga2 0.3333 0.6667 0.5764
Ga3 0.6667 0.3333 0.6350
Cl1 0.0000 0.0000 0.6624
Cl2 0.0837 0.2317 0.1699
Cl3 0.2057 0.7511 0.6957
Cl4 0.3333 0.6667 0.2532
Cl5 0.4630 0.2570 0.8396
Cl6 0.5391 0.1272 0.4357
```

No. 5
Simulated powder XRD pattern
Compound: TlCd13
Radiation: Cu Ka
Structure: a structure optimized by DFT (GGA-PBE)

Largest 6 diffraction maxima, in order of rising 2θ, 2θ from 15° to 90°:
- 3.130 Å, rel. 339
- 2.858 Å, rel. 805
- 2.366 Å, rel. 1000
- 2.333 Å, rel. 262
- 2.213 Å, rel. 153
- 1.537 Å, rel. 189

Structure:
```
data_TlCd13
_chemical_formula_sum 'Tl8 Cd104'
_symmetry_space_group_name_H-M 'F m -3 c'
_symmetry_Int_Tables_number 226
_symmetry_space_group_name_Hall '-F 4a 2 3'
_cell_length_a 13.9991
_cell_length_b 13.9991
_cell_length_c 13.9991
_cell_angle_alpha 90.00
_cell_angle_beta 90.00
_cell_angle_gamma 90.00
loop_
_atom_site_label
_atom_site_fract_x
_atom_site_fract_y
_atom_site_fract_z
Tl1 0.2500 0.2500 0.2500
Cd1 0.0000 0.0000 0.0000
Cd2 0.0000 0.1212 0.1811
```

No. 6
Simulated powder XRD pattern
Compound: Pm3InSn3
Radiation: Cu Ka
Structure: a structure optimized by DFT (GGA-PBE)

Largest 6 diffraction maxima, in order of rising 2θ, 2θ from 15° to 90°:
- 3.039 Å, rel. 636
- 2.995 Å, rel. 579
- 2.686 Å, rel. 1000
- 2.641 Å, rel. 268
- 2.133 Å, rel. 450
- 1.678 Å, rel. 246

Structure:
```
data_Pm3InSn3
_chemical_formula_sum 'Pm6 In2 Sn6'
_symmetry_space_group_name_H-M 'P 63/m'
_symmetry_Int_Tables_number 176
_symmetry_space_group_name_Hall '-P 6c'
_cell_length_a 9.1485
_cell_length_b 9.1485
_cell_length_c 6.0784
_cell_angle_alpha 90.00
_cell_angle_beta 90.00
_cell_angle_gamma 120.00
loop_
_atom_site_label
_atom_site_fract_x
_atom_site_fract_y
_atom_site_fract_z
Pm1 0.0836 0.4162 0.2500
In1 0.3333 0.6667 0.7500
Sn1 0.0630 0.3115 0.7500
```